This entry pairs a crystal structure of Rb4CdHg4 with its computed PXRD pattern. Radiation: copper Kα. Structure: a cell relaxed with GGA-PBE.
Peak positions follow from Bragg's law for the DFT cell and can differ from measured ones.

Atomic structure:
abc: 10.380 10.380 7.481
angles: 90.00 90.00 90.00
Fractional positions:
Rb: 0.031 0.681 0.100
Rb: 0.181 0.969 0.600
Rb: 0.319 0.531 0.600
Rb: 0.469 0.819 0.100
Rb: 0.531 0.181 0.900
Rb: 0.681 0.469 0.400
Rb: 0.819 0.031 0.400
Rb: 0.969 0.319 0.900
Cd: 0.250 0.250 0.250
Cd: 0.750 0.750 0.750
Hg: 0.017 0.366 0.411
Hg: 0.134 0.017 0.089
Hg: 0.366 0.483 0.089
Hg: 0.483 0.134 0.411
Hg: 0.517 0.866 0.589
Hg: 0.634 0.517 0.911
Hg: 0.866 0.983 0.911
Hg: 0.983 0.634 0.589

Peak list (10 most intense, 5° ≤ 2θ ≤ 70°, most intense first)
h k l	2θ (°)	I (rel.)
1 3 0	27.2	100.0
1 2 2	30.7	90.4
1 1 1	16.9	50.3
1 0 1	14.6	31.7
1 0 2	25.3	31.1
2 4 0	38.8	30.6
1 2 4	52.8	24.3
3 2 2	39.5	24.3
4 0 1	36.7	22.4
3 1 2	36.4	18.0